(1)
This entry pairs a crystal structure of Ba4CeMn3O12 with its simulated PXRD pattern. Radiation: copper Kα. Structure: the GGA+U geometry in the Materials Project.
No peak broadening, texture or thermal motion is included.

Structural model:
Unit cell a=5.8891 b=5.8891 c=29.2498 alpha=90.00 beta=90.00 gamma=120.00
Space group R-3m (No. 166, hexagonal axes)
Symmetry-distinct sites (fractional):
Ba  0.0000  0.0000  0.1308
Ba  0.0000  0.0000  0.2815
Ce  0.0000  0.0000  0.0000
Mn  0.0000  0.0000  0.4125
Mn  0.0000  0.0000  0.5000
O  0.0188  0.5094  0.2889
O  0.0403  0.5202  0.1245

Main lines, by angle (2θ from 15° to 90°):
- hkl 1 0 7, 3.232 Å, intensity 79
- hkl 0 1 8, 2.972 Å, intensity 27
- hkl 1 1 0, 2.945 Å, intensity 100
- hkl 0 2 7, 2.177 Å, intensity 46
- hkl 0 1 14, 1.933 Å, intensity 15
- hkl 2 1 7, 1.750 Å, intensity 25
- hkl 3 0 0, 1.700 Å, intensity 19
- hkl 2 2 0, 1.472 Å, intensity 20

=====

(2)
This entry pairs a crystal structure of Cr4Cu11O30 with its simulated PXRD pattern. Radiation: copper Kα. Structure: the GGA+U geometry in the Materials Project.
No peak broadening, texture or thermal motion is included.

Structural model:
Unit cell a=5.506 b=10.348 c=10.562 alpha=93.44 beta=104.31 gamma=95.73
Space group P-1 (No. 2)
Symmetry-distinct sites (fractional):
Cr  0.058  0.198  0.025
Cr  0.306  0.183  0.558
Cu  0.064  0.494  0.640
Cu  0.114  0.970  0.747
Cu  0.205  0.487  0.922
Cu  0.371  0.513  0.214
Cu  0.385  0.030  0.253
Cu  0.500  0.500  0.500
O  0.021  0.153  0.467
O  0.061  0.580  0.224
O  0.097  0.367  0.037
O  0.122  0.133  0.184
O  0.145  0.938  0.308
O  0.198  0.569  0.511
O  0.228  0.854  0.051
O  0.239  0.141  0.944
O  0.321  0.417  0.344
O  0.328  0.565  0.786
O  0.352  0.336  0.627
O  0.357  0.075  0.689
O  0.376  0.881  0.807
O  0.419  0.588  0.068
O  0.499  0.837  0.531

Main lines, by angle (2θ from 15° to 90°):
- hkl 0 2 0, 5.128 Å, intensity 100
- hkl 0 1 2, 4.416 Å, intensity 20
- hkl 0 2 2, 3.466 Å, intensity 32
- hkl 0 3 0, 3.419 Å, intensity 27
- hkl 1 0 3, 2.577 Å, intensity 17
- hkl -2 2 1, 2.523 Å, intensity 34
- hkl 1 1 3, 2.427 Å, intensity 20
- hkl 1 2 -4, 2.323 Å, intensity 34

=====

(3)
This entry pairs a crystal structure of Li4Cr2Fe3Sb3O16 with its simulated PXRD pattern. Radiation: copper Kα. Structure: the GGA+U geometry in the Materials Project.
No peak broadening, texture or thermal motion is included.

Structural model:
Unit cell a=6.120 b=6.146 c=9.712 alpha=91.35 beta=90.45 gamma=119.34
Space group P1 (No. 1)
Symmetry-distinct sites (fractional):
Li  0.000  0.000  0.000
Li  0.002  0.009  0.518
Li  0.329  0.656  0.622
Li  0.663  0.330  0.101
Cr  0.308  0.633  0.009
Cr  0.643  0.287  0.528
Fe  0.155  0.315  0.289
Fe  0.322  0.146  0.792
Fe  0.814  0.145  0.791
Sb  0.156  0.810  0.289
Sb  0.649  0.810  0.289
Sb  0.813  0.634  0.790
O  0.028  0.514  0.163
O  0.137  0.798  0.906
O  0.143  0.310  0.907
O  0.306  0.125  0.405
O  0.332  0.665  0.403
O  0.467  0.947  0.166
O  0.481  0.514  0.162
O  0.516  0.022  0.660
O  0.520  0.469  0.654
O  0.652  0.806  0.904
O  0.671  0.328  0.902
O  0.812  0.125  0.403
O  0.831  0.661  0.400
O  0.946  0.456  0.659
O  0.966  0.958  0.697
O  0.976  0.961  0.185

Main lines, by angle (2θ from 15° to 90°):
- hkl 0 0 2, 4.853 Å, intensity 100
- hkl 0 1 -1, 4.753 Å, intensity 36
- hkl 1 0 -1, 4.719 Å, intensity 22
- hkl 1 0 1, 4.630 Å, intensity 34
- hkl 0 2 -1, 2.601 Å, intensity 23
- hkl 2 0 -1, 2.584 Å, intensity 23
- hkl 0 2 1, 2.559 Å, intensity 48
- hkl 2 0 3, 2.038 Å, intensity 23

=====

(4)
This entry pairs a crystal structure of Li3CuNi3O8 with its simulated PXRD pattern. Radiation: copper Kα. Structure: the GGA+U geometry in the Materials Project.
No peak broadening, texture or thermal motion is included.

Structural model:
Unit cell a=5.720 b=5.767 c=5.838 alpha=91.96 beta=118.70 gamma=118.40
Space group P-1 (No. 2)
Symmetry-distinct sites (fractional):
Li  0.000  0.000  0.000
Li  0.000  0.500  0.000
Li  0.500  0.000  0.000
Cu  0.500  0.000  0.500
Ni  0.000  0.000  0.500
Ni  0.000  0.500  0.500
Ni  0.500  0.500  0.500
O  0.009  0.749  0.288
O  0.040  0.288  0.280
O  0.459  0.209  0.717
O  0.492  0.235  0.283

Main lines, by angle (2θ from 15° to 90°):
- hkl 0 0 1, 4.815 Å, intensity 100
- hkl 0 2 -1, 2.503 Å, intensity 15
- hkl 2 0 -1, 2.484 Å, intensity 14
- hkl -2 2 1, 2.422 Å, intensity 11
- hkl 0 2 -2, 2.086 Å, intensity 21
- hkl 2 0 0, 2.076 Å, intensity 21
- hkl -2 2 2, 2.015 Å, intensity 19
- hkl 2 -2 1, 1.896 Å, intensity 9

=====

(5)
This entry pairs a crystal structure of HfMg6MnO8 with its simulated PXRD pattern. Radiation: copper Kα. Structure: the GGA+U geometry in the Materials Project.
No peak broadening, texture or thermal motion is included.

Structural model:
Unit cell a=4.383 b=4.383 c=8.883 alpha=90.00 beta=90.00 gamma=90.00
Space group P4/mmm (No. 123)
Symmetry-distinct sites (fractional):
Hf  0.000  0.000  0.000
Mg  0.000  0.500  0.260
Mg  0.500  0.500  0.000
Mg  0.500  0.500  0.500
Mn  0.000  0.000  0.500
O  0.000  0.000  0.245
O  0.000  0.500  0.000
O  0.000  0.500  0.500
O  0.500  0.500  0.253

Main lines, by angle (2θ from 15° to 90°):
- hkl 0 0 2, 4.442 Å, intensity 40
- hkl 1 0 0, 4.383 Å, intensity 76
- hkl 1 0 1, 3.931 Å, intensity 52
- hkl 1 0 2, 3.120 Å, intensity 66
- hkl 1 1 2, 2.542 Å, intensity 75
- hkl 0 0 4, 2.221 Å, intensity 51
- hkl 2 0 0, 2.192 Å, intensity 100
- hkl 2 0 4, 1.560 Å, intensity 61

=====

(6)
This entry pairs a crystal structure of Fe3As2O16 with its simulated PXRD pattern. Radiation: copper Kα. Structure: the GGA+U geometry in the Materials Project.
No peak broadening, texture or thermal motion is included.

Structural model:
Unit cell a=10.499 b=11.823 c=4.667 alpha=90.00 beta=106.42 gamma=90.00
Space group C2/m (No. 12)
Symmetry-distinct sites (fractional):
Fe  0.000  0.000  0.000
Fe  0.000  0.366  0.000
As  0.183  0.500  0.644
O  0.074  0.131  0.866
O  0.083  0.240  0.226
O  0.091  0.500  0.264
O  0.145  0.378  0.795
O  0.151  0.000  0.363

Main lines, by angle (2θ from 15° to 90°):
- hkl 2 0 0, 5.035 Å, intensity 53
- hkl 1 1 -1, 4.289 Å, intensity 100
- hkl 2 0 -1, 3.945 Å, intensity 56
- hkl 1 3 -1, 2.993 Å, intensity 87
- hkl 2 0 1, 2.956 Å, intensity 93
- hkl 3 3 0, 2.554 Å, intensity 66
- hkl 4 0 -1, 2.520 Å, intensity 51
- hkl 0 4 1, 2.467 Å, intensity 42

=====

(7)
This entry pairs a crystal structure of Sr6Ti3FeO14 with its simulated PXRD pattern. Radiation: copper Kα. Structure: the GGA+U geometry in the Materials Project.
No peak broadening, texture or thermal motion is included.

Structural model:
Unit cell a=5.581 b=5.581 c=20.372 alpha=90.00 beta=90.00 gamma=90.00
Space group P4bm (No. 100)
Symmetry-distinct sites (fractional):
Sr  0.000  0.000  0.000
Sr  0.000  0.000  0.177
Sr  0.000  0.000  0.363
Sr  0.000  0.500  0.496
Sr  0.000  0.500  0.681
Sr  0.000  0.500  0.867
Ti  0.000  0.000  0.583
Ti  0.000  0.000  0.780
Ti  0.000  0.500  0.277
Fe  0.000  0.500  0.083
O  0.000  0.000  0.486
O  0.000  0.000  0.681
O  0.000  0.000  0.876
O  0.000  0.500  0.178
O  0.000  0.500  0.373
O  0.000  0.500  0.988
O  0.237  0.263  0.085
O  0.250  0.250  0.275
O  0.250  0.250  0.584
O  0.250  0.250  0.778

Main lines, by angle (2θ from 15° to 90°):
- hkl 1 1 5, 2.835 Å, intensity 100
- hkl 2 0 0, 2.791 Å, intensity 69
- hkl 2 0 6, 2.156 Å, intensity 29
- hkl 0 0 10, 2.037 Å, intensity 16
- hkl 2 2 0, 1.973 Å, intensity 45
- hkl 2 0 10, 1.645 Å, intensity 15
- hkl 3 1 5, 1.619 Å, intensity 38
- hkl 2 2 10, 1.417 Å, intensity 17

=====

(8)
This entry pairs a crystal structure of Li2CoSiO4 with its simulated PXRD pattern. Radiation: copper Kα. Structure: the GGA+U geometry in the Materials Project.
No peak broadening, texture or thermal motion is included.

Structural model:
Unit cell a=5.400 b=5.011 c=6.336 alpha=90.00 beta=90.60 gamma=90.00
Space group P2_1 (No. 4)
Symmetry-distinct sites (fractional):
Li  0.157  0.000  0.269
Li  0.335  0.501  0.500
Co  0.318  0.501  0.007
Si  0.175  0.006  0.743
O  0.115  0.399  0.249
O  0.179  0.337  0.751
O  0.317  0.895  0.536
O  0.319  0.904  0.968

Main lines, by angle (2θ from 15° to 90°):
- hkl 1 0 -1, 4.131 Å, intensity 62
- hkl 0 1 1, 3.930 Å, intensity 52
- hkl 1 1 1, 3.168 Å, intensity 100
- hkl 1 0 2, 2.720 Å, intensity 47
- hkl 2 0 0, 2.700 Å, intensity 56
- hkl 0 2 0, 2.505 Å, intensity 80
- hkl 1 1 -2, 2.407 Å, intensity 40
- hkl 1 1 -3, 1.836 Å, intensity 37

=====

(9)
This entry pairs a crystal structure of MnOF with its simulated PXRD pattern. Radiation: copper Kα. Structure: the GGA+U geometry in the Materials Project.
No peak broadening, texture or thermal motion is included.

Structural model:
Unit cell a=3.082 b=4.803 c=14.194 alpha=90.00 beta=90.00 gamma=90.00
Space group Pmn2_1 (No. 31)
Symmetry-distinct sites (fractional):
Mn  0.000  0.145  0.000
Mn  0.000  0.283  0.668
Mn  0.000  0.292  0.335
O  0.000  0.020  0.436
O  0.000  0.555  0.234
O  0.000  0.891  0.104
F  0.000  0.488  0.903
F  0.000  0.631  0.562
F  0.000  0.920  0.774

Main lines, by angle (2θ from 15° to 90°):
- hkl 0 1 3, 3.371 Å, intensity 100
- hkl 1 1 0, 2.594 Å, intensity 23
- hkl 1 0 3, 2.583 Å, intensity 28
- hkl 1 1 3, 2.275 Å, intensity 19
- hkl 0 2 5, 1.831 Å, intensity 16
- hkl 1 2 3, 1.759 Å, intensity 17
- hkl 1 1 6, 1.748 Å, intensity 29
- hkl 1 0 9, 1.404 Å, intensity 13